[1]
Mg2Al3CrS8: computed powder XRD pattern (Cu Kα, 1.54184 Å), based on a structure optimized by DFT (GGA-PBE).
Lines closer than 0.1° are merged.

The 12 most intense peaks (5° ≤ 2θ ≤ 70°), most intense first:
two_theta  intensity  (hkl)
35.10  100  0 2 4
50.39  53  2 0 8
28.94  52  1 1 3
50.58  52  2 2 0
15.02  49  1 0 1
46.11  33  1 2 5
30.31  20  2 0 2
24.66  19  1 1 0
46.18  14  0 3 3
63.06  13  4 0 4
30.16  7  0 0 6
65.27  6  3 2 1

Structure:
```
data_Mg2Al3CrS8
_chemical_formula_sum 'Mg6 Al9 Cr3 S24'
_cell_length_a 7.2177
_cell_length_b 7.2177
_cell_length_c 17.7781
_cell_angle_alpha 90.00
_cell_angle_beta 90.00
_cell_angle_gamma 120.00
_space_group_name_H-M_alt 'R -3 m'
_space_group_IT_number 166
_space_group_name_Hall '-R 3 2"'
loop_
_atom_site_label
_atom_site_type_symbol
_atom_site_fract_x
_atom_site_fract_y
_atom_site_fract_z
Mg1 Mg 0.0000 0.0000 0.1255
Al1 Al 0.0000 0.5000 0.0000
Cr1 Cr 0.0000 0.0000 0.5000
S1 S 0.0000 0.0000 0.2618
S2 S 0.0334 0.5167 0.2540
```

=====

[2]
AlCrN2: computed powder XRD pattern (Cu Kα, 1.54184 Å), based on a structure optimized by DFT (GGA-PBE).
Lines closer than 0.1° are merged.

The 12 most intense peaks (5° ≤ 2θ ≤ 70°), most intense first:
two_theta  intensity  (hkl)
34.91  100  1 1 2
59.00  28  2 0 4
69.51  22  3 1 2
57.99  15  2 2 0
22.24  14  1 0 1
40.09  14  2 0 0
41.40  6  0 0 4
36.81  5  1 0 3
46.32  4  2 1 1
55.55  2  2 1 3
56.58  1  1 0 5
62.89  1  3 0 1

Structure:
```
data_AlCrN2
_chemical_formula_sum 'Al4 Cr4 N8'
_cell_length_a 4.4981
_cell_length_b 4.4981
_cell_length_c 8.7235
_cell_angle_alpha 90.00
_cell_angle_beta 90.00
_cell_angle_gamma 90.00
_space_group_name_H-M_alt 'I -4 2 d'
_space_group_IT_number 122
_space_group_name_Hall 'I -4 2bw'
loop_
_atom_site_label
_atom_site_type_symbol
_atom_site_fract_x
_atom_site_fract_y
_atom_site_fract_z
Al1 Al 0.0000 0.0000 0.0000
Cr1 Cr 0.0000 0.0000 0.5000
N1 N 0.2380 0.7500 0.1250
```

=====

[3]
AlCrN2: computed powder XRD pattern (Cu Kα, 1.54184 Å), based on a structure optimized by DFT (GGA-PBE).
Lines closer than 0.1° are merged.

The 12 most intense peaks (5° ≤ 2θ ≤ 70°), most intense first:
two_theta  intensity  (hkl)
36.84  100  1 2 1
36.06  69  0 0 2
31.98  63  1 2 0
32.90  40  2 0 0
58.16  40  3 2 0
37.65  39  2 0 1
65.35  35  1 2 3
48.96  23  1 2 2
56.41  22  0 4 0
22.46  19  0 1 1
21.25  17  1 1 0
68.80  17  0 4 2

Structure:
```
data_AlCrN2
_chemical_formula_sum 'Al4 Cr4 N8'
_cell_length_a 5.4451
_cell_length_b 6.5246
_cell_length_c 4.9811
_cell_angle_alpha 90.00
_cell_angle_beta 90.00
_cell_angle_gamma 90.00
_space_group_name_H-M_alt 'P n a 21'
_space_group_IT_number 33
loop_
_space_group_symop_operation_xyz
'x,y,z'
'-x,-y,z+1/2'
'-x+1/2,y+1/2,z+1/2'
'x+1/2,-y+1/2,z'
loop_
_atom_site_label
_atom_site_type_symbol
_atom_site_fract_x
_atom_site_fract_y
_atom_site_fract_z
Al1 Al 0.0803 0.1251 0.0000
Cr1 Cr 0.0746 0.6252 0.9940
N1 N 0.0782 0.1160 0.3832
N2 N 0.0871 0.6346 0.3901
```

=====

[4]
Al2CrN3: computed powder XRD pattern (Cu Kα, 1.54184 Å), based on a structure optimized by DFT (GGA-PBE).
Lines closer than 0.1° are merged.

The 12 most intense peaks (5° ≤ 2θ ≤ 70°), most intense first:
two_theta  intensity  (hkl)
37.38  100  3 1 1
32.69  96  3 1 0
35.71  83  0 0 2
36.96  63  0 2 1
57.75  52  3 3 0
65.26  44  3 1 3
69.78  38  3 3 2
49.19  35  3 1 2
32.22  34  0 2 0
25.69  26  1 1 1
64.98  25  0 2 3
58.64  25  6 0 0

Structure:
```
data_Al2CrN3
_chemical_formula_sum 'Al8 Cr4 N12'
_cell_length_a 9.4457
_cell_length_b 5.5569
_cell_length_c 5.0284
_cell_angle_alpha 90.00
_cell_angle_beta 90.00
_cell_angle_gamma 90.00
_space_group_name_H-M_alt 'C m c 21'
_space_group_IT_number 36
loop_
_space_group_symop_operation_xyz
'x,y,z'
'-x,-y,z+1/2'
'-x,y,z'
'x,-y,z+1/2'
'x+1/2,y+1/2,z'
'-x+1/2,-y+1/2,z+1/2'
'-x+1/2,y+1/2,z'
'x+1/2,-y+1/2,z+1/2'
loop_
_atom_site_label
_atom_site_type_symbol
_atom_site_fract_x
_atom_site_fract_y
_atom_site_fract_z
Al1 Al 0.1695 0.1616 0.0000
Cr1 Cr 0.0000 0.3443 0.5029
N1 N 0.0000 0.3194 0.1161
N2 N 0.1719 0.1599 0.6225
```

=====

[5]
AlCr2N3: computed powder XRD pattern (Cu Kα, 1.54184 Å), based on a structure optimized by DFT (GGA-PBE).
Lines closer than 0.1° are merged.

The 12 most intense peaks (5° ≤ 2θ ≤ 70°), most intense first:
two_theta  intensity  (hkl)
29.87  100  3 1 0
37.77  72  3 1 1
46.10  52  0 0 2
55.39  51  3 3 0
39.31  49  0 2 1
16.75  42  2 0 0
31.74  37  0 2 0
51.81  29  6 0 0
55.90  27  3 1 2
66.93  17  6 2 1
51.62  15  5 1 1
43.00  15  2 2 1

Structure:
```
data_AlCr2N3
_chemical_formula_sum 'Al4 Cr8 N12'
_cell_length_a 10.5872
_cell_length_b 5.6380
_cell_length_c 3.9382
_cell_angle_alpha 90.00
_cell_angle_beta 90.00
_cell_angle_gamma 90.00
_space_group_name_H-M_alt 'C m c m'
_space_group_IT_number 63
_space_group_name_Hall '-C 2c 2'
loop_
_atom_site_label
_atom_site_type_symbol
_atom_site_fract_x
_atom_site_fract_y
_atom_site_fract_z
Al1 Al 0.0000 0.1626 0.2500
Cr1 Cr 0.1810 0.3420 0.7500
N1 N 0.0000 0.1801 0.7500
N2 N 0.1589 0.3193 0.2500
```